The following is a calculated X-ray powder pattern of UPb2. It was derived from a PBE-relaxed structure, using Cu Kα (λ = 1.5418 Å).

Top 10 peaks for 2θ = 10–80°, by intensity:
31.52 deg, 2.839 Å, I = 100
32.72 deg, 2.737 Å, I = 96
37.12 deg, 2.422 Å, I = 44
32.10 deg, 2.788 Å, I = 38
33.38 deg, 2.684 Å, I = 35
30.29 deg, 2.951 Å, I = 24
49.32 deg, 1.848 Å, I = 24
41.56 deg, 2.173 Å, I = 22
58.44 deg, 1.579 Å, I = 20
29.25 deg, 3.054 Å, I = 19

Structure:
```
data_UPb2
_symmetry_space_group_name_H-M 'P 1'
_symmetry_Int_Tables_number 1
_cell_length_a 3.7240
_cell_length_b 5.4840
_cell_length_c 8.7282
_cell_angle_alpha 78.39
_cell_angle_beta 83.25
_cell_angle_gamma 86.56
loop_
_symmetry_equiv_pos_as_xyz
'x,y,z'
loop_
_atom_site_label
_atom_site_type_symbol
_atom_site_fract_x
_atom_site_fract_y
_atom_site_fract_z
U1 U 0.2443 0.1535 0.4730
U2 U 0.7557 0.8465 0.5270
Pb1 Pb 0.1498 0.7858 0.8634
Pb2 Pb 0.3526 0.7060 0.2367
Pb3 Pb 0.6474 0.2940 0.7633
Pb4 Pb 0.8502 0.2142 0.1366
```

=====

The following is a calculated X-ray powder pattern of UPb2. It was derived from a PBE-relaxed structure, using Cu Kα (λ = 1.5418 Å).

Top 10 peaks for 2θ = 10–80°, by intensity:
29.14 deg, 3.064 Å, I = 100
31.63 deg, 2.828 Å, I = 71
41.42 deg, 2.180 Å, I = 60
24.05 deg, 3.700 Å, I = 54
28.78 deg, 3.102 Å, I = 53
37.99 deg, 2.369 Å, I = 47
31.80 deg, 2.814 Å, I = 36
41.68 deg, 2.167 Å, I = 29
23.84 deg, 3.733 Å, I = 26
51.44 deg, 1.776 Å, I = 25

Structure:
```
data_UPb2
_symmetry_space_group_name_H-M 'P 1'
_symmetry_Int_Tables_number 1
_cell_length_a 8.7212
_cell_length_b 8.7212
_cell_length_c 8.7212
_cell_angle_alpha 120.41
_cell_angle_beta 120.41
_cell_angle_gamma 89.29
loop_
_symmetry_equiv_pos_as_xyz
'x,y,z'
loop_
_atom_site_label
_atom_site_type_symbol
_atom_site_fract_x
_atom_site_fract_y
_atom_site_fract_z
U1 U 0.0000 0.0000 0.0000
U2 U 0.0000 0.0000 0.5000
U3 U 0.0000 0.5000 0.0000
U4 U 0.5000 0.0000 0.5000
Pb1 Pb 0.2773 0.3335 0.5561
Pb2 Pb 0.2773 0.7212 0.9439
Pb3 Pb 0.2788 0.7227 0.5561
Pb4 Pb 0.3335 0.2773 0.0561
Pb5 Pb 0.6665 0.7227 0.9439
Pb6 Pb 0.7212 0.2773 0.4439
Pb7 Pb 0.7227 0.2788 0.0561
Pb8 Pb 0.7227 0.6665 0.4439
```

=====

The following is a calculated X-ray powder pattern of UPb3. It was derived from a PBE-relaxed structure, using Cu Kα (λ = 1.5418 Å).

Top 6 peaks for 2θ = 10–80°, by intensity:
32.03 deg, 2.794 Å, I = 100
37.16 deg, 2.420 Å, I = 51
63.79 deg, 1.459 Å, I = 44
53.56 deg, 1.711 Å, I = 36
66.99 deg, 1.397 Å, I = 13
79.17 deg, 1.210 Å, I = 6

Structure:
```
data_UPb3
_symmetry_space_group_name_H-M 'P 1'
_symmetry_Int_Tables_number 1
_cell_length_a 4.8392
_cell_length_b 4.8392
_cell_length_c 4.8392
_cell_angle_alpha 90.00
_cell_angle_beta 90.00
_cell_angle_gamma 90.00
loop_
_symmetry_equiv_pos_as_xyz
'x,y,z'
loop_
_atom_site_label
_atom_site_type_symbol
_atom_site_fract_x
_atom_site_fract_y
_atom_site_fract_z
U1 U 0.0000 0.0000 0.0000
Pb1 Pb 0.0000 0.5000 0.5000
Pb2 Pb 0.5000 0.0000 0.5000
Pb3 Pb 0.5000 0.5000 0.0000
```

=====

The following is a calculated X-ray powder pattern of Y5Pb3. It was derived from a PBE-relaxed structure, using Cu Kα (λ = 1.5418 Å).

Top 10 peaks for 2θ = 10–80°, by intensity:
32.96 deg, 2.718 Å, I = 100
33.30 deg, 2.691 Å, I = 66
23.68 deg, 3.757 Å, I = 42
34.17 deg, 2.624 Å, I = 39
26.70 deg, 3.339 Å, I = 34
43.62 deg, 2.075 Å, I = 33
51.26 deg, 1.782 Å, I = 29
65.56 deg, 1.424 Å, I = 25
35.25 deg, 2.546 Å, I = 20
58.04 deg, 1.589 Å, I = 18

Structure:
```
data_Y5Pb3
_symmetry_space_group_name_H-M 'P 1'
_symmetry_Int_Tables_number 1
_cell_length_a 9.0894
_cell_length_b 9.0894
_cell_length_c 6.6781
_cell_angle_alpha 90.00
_cell_angle_beta 90.00
_cell_angle_gamma 120.00
loop_
_symmetry_equiv_pos_as_xyz
'x,y,z'
loop_
_atom_site_label
_atom_site_type_symbol
_atom_site_fract_x
_atom_site_fract_y
_atom_site_fract_z
Y1 Y 0.0000 0.2373 0.2500
Y2 Y 0.0000 0.7627 0.7500
Y3 Y 0.2373 0.0000 0.2500
Y4 Y 0.2373 0.2373 0.7500
Y5 Y 0.3333 0.6667 0.0000
Y6 Y 0.3333 0.6667 0.5000
Y7 Y 0.6667 0.3333 0.0000
Y8 Y 0.6667 0.3333 0.5000
Y9 Y 0.7627 0.0000 0.7500
Y10 Y 0.7627 0.7627 0.2500
Pb1 Pb 0.0000 0.3952 0.7500
Pb2 Pb 0.0000 0.6048 0.2500
Pb3 Pb 0.3952 0.0000 0.7500
Pb4 Pb 0.3952 0.3952 0.2500
Pb5 Pb 0.6048 0.0000 0.2500
Pb6 Pb 0.6048 0.6048 0.7500
```

=====

The following is a calculated X-ray powder pattern of Y3Pb. It was derived from a PBE-relaxed structure, using Cu Kα (λ = 1.5418 Å).

Top 10 peaks for 2θ = 10–80°, by intensity:
31.58 deg, 2.833 Å, I = 100
38.12 deg, 2.361 Å, I = 30
64.82 deg, 1.438 Å, I = 26
51.62 deg, 1.771 Å, I = 25
33.47 deg, 2.677 Å, I = 21
58.65 deg, 1.574 Å, I = 17
20.56 deg, 4.320 Å, I = 15
65.94 deg, 1.417 Å, I = 12
55.00 deg, 1.669 Å, I = 10
16.56 deg, 5.354 Å, I = 6

Structure:
```
data_Y3Pb
_symmetry_space_group_name_H-M 'P 1'
_symmetry_Int_Tables_number 1
_cell_length_a 4.7219
_cell_length_b 4.7219
_cell_length_c 10.7083
_cell_angle_alpha 90.00
_cell_angle_beta 90.00
_cell_angle_gamma 90.00
loop_
_symmetry_equiv_pos_as_xyz
'x,y,z'
loop_
_atom_site_label
_atom_site_type_symbol
_atom_site_fract_x
_atom_site_fract_y
_atom_site_fract_z
Y1 Y 0.0000 0.0000 0.0000
Y2 Y 0.0000 0.5000 0.2500
Y3 Y 0.0000 0.5000 0.7500
Y4 Y 0.5000 0.0000 0.2500
Y5 Y 0.5000 0.0000 0.7500
Y6 Y 0.5000 0.5000 0.5000
Pb1 Pb 0.0000 0.0000 0.5000
Pb2 Pb 0.5000 0.5000 0.0000
```

=====

The following is a calculated X-ray powder pattern of YPb3. It was derived from a PBE-relaxed structure, using Cu Kα (λ = 1.5418 Å).

Top 10 peaks for 2θ = 10–80°, by intensity:
31.59 deg, 2.832 Å, I = 100
36.63 deg, 2.453 Å, I = 51
62.82 deg, 1.479 Å, I = 43
52.78 deg, 1.735 Å, I = 36
65.96 deg, 1.416 Å, I = 13
18.08 deg, 4.906 Å, I = 7
25.68 deg, 3.469 Å, I = 6
77.89 deg, 1.227 Å, I = 6
41.14 deg, 2.194 Å, I = 4
45.28 deg, 2.003 Å, I = 3

Structure:
```
data_YPb3
_symmetry_space_group_name_H-M 'P 1'
_symmetry_Int_Tables_number 1
_cell_length_a 4.9060
_cell_length_b 4.9060
_cell_length_c 4.9060
_cell_angle_alpha 90.00
_cell_angle_beta 90.00
_cell_angle_gamma 90.00
loop_
_symmetry_equiv_pos_as_xyz
'x,y,z'
loop_
_atom_site_label
_atom_site_type_symbol
_atom_site_fract_x
_atom_site_fract_y
_atom_site_fract_z
Y1 Y 0.0000 0.0000 0.0000
Pb1 Pb 0.0000 0.5000 0.5000
Pb2 Pb 0.5000 0.0000 0.5000
Pb3 Pb 0.5000 0.5000 0.0000
```

=====

The following is a calculated X-ray powder pattern of Zr5Pb3. It was derived from a PBE-relaxed structure, using Cu Kα (λ = 1.5418 Å).

Top 10 peaks for 2θ = 10–80°, by intensity:
33.69 deg, 2.660 Å, I = 100
35.11 deg, 2.556 Å, I = 72
34.55 deg, 2.596 Å, I = 56
24.44 deg, 3.643 Å, I = 44
44.40 deg, 2.040 Å, I = 35
28.73 deg, 3.107 Å, I = 33
54.14 deg, 1.694 Å, I = 26
67.24 deg, 1.392 Å, I = 23
11.36 deg, 7.787 Å, I = 18
37.02 deg, 2.429 Å, I = 16

Structure:
```
data_Zr5Pb3
_symmetry_space_group_name_H-M 'P 1'
_symmetry_Int_Tables_number 1
_cell_length_a 8.9922
_cell_length_b 8.9922
_cell_length_c 6.2138
_cell_angle_alpha 90.00
_cell_angle_beta 90.00
_cell_angle_gamma 120.00
loop_
_symmetry_equiv_pos_as_xyz
'x,y,z'
loop_
_atom_site_label
_atom_site_type_symbol
_atom_site_fract_x
_atom_site_fract_y
_atom_site_fract_z
Zr1 Zr 0.0000 0.2476 0.2500
Zr2 Zr 0.0000 0.7524 0.7500
Zr3 Zr 0.2476 0.0000 0.2500
Zr4 Zr 0.2476 0.2476 0.7500
Zr5 Zr 0.3333 0.6667 0.0000
Zr6 Zr 0.3333 0.6667 0.5000
Zr7 Zr 0.6667 0.3333 0.0000
Zr8 Zr 0.6667 0.3333 0.5000
Zr9 Zr 0.7524 0.0000 0.7500
Zr10 Zr 0.7524 0.7524 0.2500
Pb1 Pb 0.0000 0.3896 0.7500
Pb2 Pb 0.0000 0.6104 0.2500
Pb3 Pb 0.3896 0.0000 0.7500
Pb4 Pb 0.3896 0.3896 0.2500
Pb5 Pb 0.6104 0.0000 0.2500
Pb6 Pb 0.6104 0.6104 0.7500
```

=====

The following is a calculated X-ray powder pattern of Pd. It was derived from a PBE-relaxed structure, using Cu Kα (λ = 1.5418 Å).

Top 3 peaks for 2θ = 10–80°, by intensity:
39.44 deg, 2.285 Å, I = 100
45.86 deg, 1.979 Å, I = 48
66.88 deg, 1.399 Å, I = 31

Structure:
```
data_Pd
_symmetry_space_group_name_H-M 'P 1'
_symmetry_Int_Tables_number 1
_cell_length_a 3.9571
_cell_length_b 3.9571
_cell_length_c 3.9571
_cell_angle_alpha 90.00
_cell_angle_beta 90.00
_cell_angle_gamma 90.00
loop_
_symmetry_equiv_pos_as_xyz
'x,y,z'
loop_
_atom_site_label
_atom_site_type_symbol
_atom_site_fract_x
_atom_site_fract_y
_atom_site_fract_z
Pd1 Pd 0.0000 0.0000 0.0000
Pd2 Pd 0.0000 0.5000 0.5000
Pd3 Pd 0.5000 0.0000 0.5000
Pd4 Pd 0.5000 0.5000 0.0000
```

=====

The following is a calculated X-ray powder pattern of Pd. It was derived from a PBE-relaxed structure, using Cu Kα (λ = 1.5418 Å).

Top 10 peaks for 2θ = 10–80°, by intensity:
42.21 deg, 2.141 Å, I = 100
38.43 deg, 2.342 Å, I = 44
39.40 deg, 2.287 Å, I = 36
47.96 deg, 1.897 Å, I = 23
66.89 deg, 1.399 Å, I = 22
73.37 deg, 1.290 Å, I = 19
63.74 deg, 1.460 Å, I = 10
37.11 deg, 2.423 Å, I = 8
55.23 deg, 1.663 Å, I = 5
79.87 deg, 1.201 Å, I = 5

Structure:
```
data_Pd
_symmetry_space_group_name_H-M 'P 1'
_symmetry_Int_Tables_number 1
_cell_length_a 2.7977
_cell_length_b 2.7977
_cell_length_c 9.1480
_cell_angle_alpha 90.00
_cell_angle_beta 90.00
_cell_angle_gamma 120.00
loop_
_symmetry_equiv_pos_as_xyz
'x,y,z'
loop_
_atom_site_label
_atom_site_type_symbol
_atom_site_fract_x
_atom_site_fract_y
_atom_site_fract_z
Pd1 Pd 0.0000 0.0000 0.0000
Pd2 Pd 0.0000 0.0000 0.5000
Pd3 Pd 0.3333 0.6667 0.2500
Pd4 Pd 0.6667 0.3333 0.7500
```

=====

The following is a calculated X-ray powder pattern of Pd. It was derived from a PBE-relaxed structure, using Cu Kα (λ = 1.5418 Å).

Top 7 peaks for 2θ = 10–80°, by intensity:
42.27 deg, 2.138 Å, I = 100
38.91 deg, 2.314 Å, I = 28
37.30 deg, 2.411 Å, I = 24
72.77 deg, 1.300 Å, I = 19
67.27 deg, 1.392 Å, I = 16
55.00 deg, 1.670 Å, I = 15
79.52 deg, 1.205 Å, I = 3

Structure:
```
data_Pd
_symmetry_space_group_name_H-M 'P 1'
_symmetry_Int_Tables_number 1
_cell_length_a 2.7837
_cell_length_b 2.7837
_cell_length_c 4.6289
_cell_angle_alpha 90.00
_cell_angle_beta 90.00
_cell_angle_gamma 120.00
loop_
_symmetry_equiv_pos_as_xyz
'x,y,z'
loop_
_atom_site_label
_atom_site_type_symbol
_atom_site_fract_x
_atom_site_fract_y
_atom_site_fract_z
Pd1 Pd 0.3333 0.6667 0.2500
Pd2 Pd 0.6667 0.3333 0.7500
```

=====

The following is a calculated X-ray powder pattern of Pd. It was derived from a PBE-relaxed structure, using Cu Kα (λ = 1.5418 Å).

Top 3 peaks for 2θ = 10–80°, by intensity:
40.57 deg, 2.224 Å, I = 100
73.81 deg, 1.284 Å, I = 33
58.72 deg, 1.572 Å, I = 17

Structure:
```
data_Pd
_symmetry_space_group_name_H-M 'P 1'
_symmetry_Int_Tables_number 1
_cell_length_a 3.1446
_cell_length_b 3.1446
_cell_length_c 3.1446
_cell_angle_alpha 90.00
_cell_angle_beta 90.00
_cell_angle_gamma 90.00
loop_
_symmetry_equiv_pos_as_xyz
'x,y,z'
loop_
_atom_site_label
_atom_site_type_symbol
_atom_site_fract_x
_atom_site_fract_y
_atom_site_fract_z
Pd1 Pd 0.0000 0.0000 0.0000
Pd2 Pd 0.5000 0.5000 0.5000
```

=====

The following is a calculated X-ray powder pattern of Pm2PdPt. It was derived from a PBE-relaxed structure, using Cu Kα (λ = 1.5418 Å).

Top 9 peaks for 2θ = 10–80°, by intensity:
35.30 deg, 2.543 Å, I = 100
63.35 deg, 1.468 Å, I = 37
50.78 deg, 1.798 Å, I = 18
74.65 deg, 1.271 Å, I = 11
21.40 deg, 4.152 Å, I = 4
41.65 deg, 2.169 Å, I = 3
55.71 deg, 1.650 Å, I = 1
78.71 deg, 1.216 Å, I = 1
67.69 deg, 1.384 Å, I = 1

Structure:
```
data_Pm2PdPt
_symmetry_space_group_name_H-M 'P 1'
_symmetry_Int_Tables_number 1
_cell_length_a 7.1923
_cell_length_b 7.1923
_cell_length_c 7.1923
_cell_angle_alpha 90.00
_cell_angle_beta 90.00
_cell_angle_gamma 90.00
loop_
_symmetry_equiv_pos_as_xyz
'x,y,z'
loop_
_atom_site_label
_atom_site_type_symbol
_atom_site_fract_x
_atom_site_fract_y
_atom_site_fract_z
Pm1 Pm 0.2500 0.2500 0.2500
Pm2 Pm 0.2500 0.2500 0.7500
Pm3 Pm 0.2500 0.7500 0.2500
Pm4 Pm 0.2500 0.7500 0.7500
Pm5 Pm 0.7500 0.2500 0.2500
Pm6 Pm 0.7500 0.2500 0.7500
Pm7 Pm 0.7500 0.7500 0.2500
Pm8 Pm 0.7500 0.7500 0.7500
Pd1 Pd 0.0000 0.0000 0.0000
Pd2 Pd 0.0000 0.5000 0.5000
Pd3 Pd 0.5000 0.0000 0.5000
Pd4 Pd 0.5000 0.5000 0.0000
Pt1 Pt 0.0000 0.0000 0.5000
Pt2 Pt 0.0000 0.5000 0.0000
Pt3 Pt 0.5000 0.0000 0.0000
Pt4 Pt 0.5000 0.5000 0.5000
```